No. 1
# CsLa2Br7
Calculated X-ray powder pattern, Cu Kα X-rays. Input: a structure optimized by DFT (GGA-PBE).
Peak positions follow from Bragg's law for the DFT cell and can differ from measured ones.

Structure:
Cell: 15.0069 7.7784 14.0394 Å, 90.00 90.00 90.00°
Fractional positions:
Cs1 0.0418 0.2500 0.1946
Cs2 0.4582 0.7500 0.6946
Cs3 0.5418 0.2500 0.3054
Cs4 0.9582 0.7500 0.8054
La1 0.2376 0.2500 0.5394
La2 0.2500 0.2500 0.8430
La3 0.2500 0.7500 0.3430
La4 0.2624 0.7500 0.0394
La5 0.7376 0.2500 0.9606
La6 0.7500 0.2500 0.6570
La7 0.7500 0.7500 0.1570
La8 0.7624 0.7500 0.4606
Br1 0.1101 0.7500 0.1873
Br2 0.1231 0.0099 0.4227
Br3 0.1231 0.4901 0.4227
Br4 0.1333 0.0105 0.9603
Br5 0.1333 0.4895 0.9603
Br6 0.1753 0.0105 0.6937
Br7 0.1753 0.4895 0.6937
Br8 0.3247 0.5105 0.1937
Br9 0.3247 0.9895 0.1937
Br10 0.3667 0.5105 0.4603
Br11 0.3667 0.9895 0.4603
Br12 0.3769 0.5099 0.9227
Br13 0.3769 0.9901 0.9227
Br14 0.3899 0.2500 0.6873
Br15 0.6101 0.7500 0.3127
Br16 0.6231 0.0099 0.0773
Br17 0.6231 0.4901 0.0773
Br18 0.6333 0.0105 0.5397
Br19 0.6333 0.4895 0.5397
Br20 0.6753 0.0105 0.8063
Br21 0.6753 0.4895 0.8063
Br22 0.8247 0.5105 0.3063
Br23 0.8247 0.9895 0.3063
Br24 0.8667 0.5105 0.0397
Br25 0.8667 0.9895 0.0397
Br26 0.8769 0.5099 0.5773
Br27 0.8769 0.9901 0.5773
Br28 0.8899 0.2500 0.8127

Largest 12 diffraction maxima, by angle, 10 to 90 degrees two-theta:
2θ/deg, d [Å], I_rel
11.79, 7.503, 660
17.60, 5.040, 1000
22.96, 3.874, 361
24.55, 3.626, 399
26.07, 3.418, 370
30.48, 2.933, 424
31.13, 2.873, 598
31.81, 2.813, 433
33.18, 2.700, 739
34.95, 2.567, 817
37.43, 2.403, 354
46.73, 1.944, 366

No. 2
# Cs3LaBr6
Calculated X-ray powder pattern, Cu Kα X-rays. Input: a structure optimized by DFT (GGA-PBE).
Peak positions follow from Bragg's law for the DFT cell and can differ from measured ones.

Structure:
Cell: 14.9797 8.8927 14.2695 Å, 90.00 107.88 90.00°
Fractional positions:
Cs1 0.0979 0.0346 0.3589
Cs2 0.0979 0.4654 0.8589
Cs3 0.3154 0.5653 0.2656
Cs4 0.3154 0.9347 0.7656
Cs5 0.3208 0.0671 0.1128
Cs6 0.3208 0.4329 0.6128
Cs7 0.6792 0.5671 0.3872
Cs8 0.6792 0.9329 0.8872
Cs9 0.6846 0.0653 0.2344
Cs10 0.6846 0.4347 0.7344
Cs11 0.9021 0.5346 0.1411
Cs12 0.9021 0.9654 0.6411
La1 0.0000 0.0000 0.0000
La2 0.0000 0.5000 0.5000
La3 0.5000 0.0000 0.5000
La4 0.5000 0.5000 0.0000
Br1 0.0992 0.2230 0.5968
Br2 0.0992 0.2770 0.0968
Br3 0.1192 0.5007 0.3721
Br4 0.1192 0.9993 0.8721
Br5 0.1334 0.6819 0.6504
Br6 0.1334 0.8181 0.1504
Br7 0.3470 0.7040 0.0055
Br8 0.3470 0.7960 0.5055
Br9 0.3498 0.2104 0.3948
Br10 0.3498 0.2896 0.8948
Br11 0.5000 0.1393 0.6891
Br12 0.5000 0.3607 0.1891
Br13 0.5000 0.6393 0.8109
Br14 0.5000 0.8607 0.3109
Br15 0.6502 0.7104 0.1052
Br16 0.6502 0.7896 0.6052
Br17 0.6530 0.2040 0.4945
Br18 0.6530 0.2960 0.9945
Br19 0.8666 0.1819 0.8496
Br20 0.8666 0.3181 0.3496
Br21 0.8808 0.0007 0.1279
Br22 0.8808 0.4993 0.6279
Br23 0.9008 0.7230 0.9032
Br24 0.9008 0.7770 0.4032

Largest 12 diffraction maxima, by angle, 10 to 90 degrees two-theta:
2θ/deg, d [Å], I_rel
20.41, 4.350, 375
21.18, 4.194, 660
25.03, 3.557, 312
25.51, 3.492, 318
26.86, 3.319, 378
26.99, 3.303, 394
27.86, 3.202, 439
28.88, 3.092, 1000
30.28, 2.952, 347
31.37, 2.851, 344
37.82, 2.379, 271
43.14, 2.097, 312

No. 3
# Cs3LaBr6
Calculated X-ray powder pattern, Cu Kα X-rays. Input: a structure optimized by DFT (GGA-PBE).
Peak positions follow from Bragg's law for the DFT cell and can differ from measured ones.

Structure:
Cell: 15.2056 15.2056 14.2150 Å, 98.65 98.65 33.98°
Fractional positions:
Cs1 0.0273 0.6631 0.8544
Cs2 0.1581 0.5193 0.1997
Cs3 0.1687 0.7332 0.5737
Cs4 0.2668 0.8313 0.9263
Cs5 0.3369 0.9727 0.6456
Cs6 0.4807 0.8419 0.3003
Cs7 0.5193 0.1581 0.6997
Cs8 0.6631 0.0273 0.3544
Cs9 0.7332 0.1687 0.0737
Cs10 0.8313 0.2668 0.4263
Cs11 0.8419 0.4807 0.8003
Cs12 0.9727 0.3369 0.1456
La1 0.0000 0.5000 0.5000
La2 0.3014 0.6986 0.2500
La3 0.5000 0.0000 0.0000
La4 0.6986 0.3014 0.7500
Br1 0.0104 0.8686 0.3204
Br2 0.1249 0.2198 0.4197
Br3 0.1314 0.9896 0.1796
Br4 0.1374 0.3619 0.6912
Br5 0.2160 0.6700 0.0619
Br6 0.2198 0.1249 0.9197
Br7 0.2817 0.3678 0.4661
Br8 0.3300 0.7840 0.4381
Br9 0.3619 0.1374 0.1912
Br10 0.3678 0.2817 0.9661
Br11 0.3894 0.4896 0.7955
Br12 0.4896 0.3894 0.2955
Br13 0.5104 0.6106 0.7045
Br14 0.6106 0.5104 0.2045
Br15 0.6322 0.7183 0.0339
Br16 0.6381 0.8626 0.8088
Br17 0.6700 0.2160 0.5619
Br18 0.7183 0.6322 0.5339
Br19 0.7802 0.8751 0.0803
Br20 0.7840 0.3300 0.9381
Br21 0.8626 0.6381 0.3088
Br22 0.8686 0.0104 0.8204
Br23 0.8751 0.7802 0.5803
Br24 0.9896 0.1314 0.6796

Largest 12 diffraction maxima, by angle, 10 to 90 degrees two-theta:
2θ/deg, d [Å], I_rel
20.24, 4.388, 471
21.25, 4.181, 720
27.04, 3.297, 501
27.44, 3.250, 629
27.72, 3.218, 557
28.27, 3.157, 293
28.96, 3.083, 1000
30.05, 2.974, 377
31.14, 2.872, 431
37.25, 2.414, 313
41.14, 2.194, 296
43.28, 2.091, 331

No. 4
# CsLaTa6Br18
Calculated X-ray powder pattern, Cu Kα X-rays. Input: a structure optimized by DFT (GGA-PBE).
Peak positions follow from Bragg's law for the DFT cell and can differ from measured ones.

Structure:
Cell: 10.0320 10.0320 18.7431 Å, 90.00 90.00 120.00°
Fractional positions:
Cs1 0.3333 0.6667 0.2500
Cs2 0.6667 0.3333 0.7500
La1 0.3333 0.6667 0.7500
La2 0.6667 0.3333 0.2500
Ta1 0.0363 0.1834 0.9366
Ta2 0.0363 0.8529 0.5634
Ta3 0.1471 0.1834 0.5634
Ta4 0.1471 0.9637 0.9366
Ta5 0.1834 0.0363 0.4366
Ta6 0.1834 0.1471 0.0634
Ta7 0.8166 0.8529 0.9366
Ta8 0.8166 0.9637 0.5634
Ta9 0.8529 0.0363 0.0634
Ta10 0.8529 0.8166 0.4366
Ta11 0.9637 0.1471 0.4366
Ta12 0.9637 0.8166 0.0634
Br1 0.0445 0.2286 0.1578
Br2 0.0445 0.8160 0.3422
Br3 0.0770 0.4385 0.8428
Br4 0.0770 0.6385 0.6572
Br5 0.1386 0.4113 0.4997
Br6 0.1386 0.7273 0.0003
Br7 0.1840 0.2286 0.3422
Br8 0.1840 0.9555 0.1578
Br9 0.2286 0.0445 0.6578
Br10 0.2286 0.1840 0.8422
Br11 0.2727 0.4113 0.0003
Br12 0.2727 0.8614 0.4997
Br13 0.3615 0.4385 0.6572
Br14 0.3615 0.9230 0.8428
Br15 0.4113 0.1386 0.9997
Br16 0.4113 0.2727 0.5003
Br17 0.4385 0.0770 0.3428
Br18 0.4385 0.3615 0.1572
Br19 0.5615 0.6385 0.8428
Br20 0.5615 0.9230 0.6572
Br21 0.5887 0.7273 0.4997
Br22 0.5887 0.8614 0.0003
Br23 0.6385 0.0770 0.1572
Br24 0.6385 0.5615 0.3428
Br25 0.7273 0.1386 0.5003
Br26 0.7273 0.5887 0.9997
Br27 0.7714 0.8160 0.1578
Br28 0.7714 0.9555 0.3422
Br29 0.8160 0.0445 0.8422
Br30 0.8160 0.7714 0.6578
Br31 0.8614 0.2727 0.9997
Br32 0.8614 0.5887 0.5003
Br33 0.9230 0.3615 0.3428
Br34 0.9230 0.5615 0.1572
Br35 0.9555 0.1840 0.6578
Br36 0.9555 0.7714 0.8422

Largest 12 diffraction maxima, by angle, 10 to 90 degrees two-theta:
2θ/deg, d [Å], I_rel
10.18, 8.688, 1000
13.90, 6.371, 643
20.08, 4.422, 121
30.76, 2.907, 246
32.36, 2.767, 115
33.32, 2.689, 514
33.80, 2.652, 147
36.37, 2.470, 138
39.84, 2.263, 330
40.81, 2.211, 185
47.68, 1.907, 147
48.25, 1.886, 164

No. 5
# Cs2LiBr3
Calculated X-ray powder pattern, Cu Kα X-rays. Input: a structure optimized by DFT (GGA-PBE).
Peak positions follow from Bragg's law for the DFT cell and can differ from measured ones.

Structure:
Cell: 12.5410 12.5410 8.2453 Å, 90.00 90.00 159.27°
Fractional positions:
Cs1 0.0053 0.9947 0.7500
Cs2 0.1774 0.8226 0.2500
Cs3 0.8226 0.1774 0.7500
Cs4 0.9947 0.0053 0.2500
Li1 0.3506 0.6494 0.2500
Li2 0.6494 0.3506 0.7500
Br1 0.2048 0.7952 0.7500
Br2 0.4120 0.5880 0.5020
Br3 0.4120 0.5880 0.9980
Br4 0.5880 0.4120 0.0020
Br5 0.5880 0.4120 0.4980
Br6 0.7952 0.2048 0.2500

Largest 12 diffraction maxima, by angle, 10 to 90 degrees two-theta:
2θ/deg, d [Å], I_rel
21.57, 4.120, 172
26.00, 3.428, 257
26.77, 3.330, 1000
28.92, 3.088, 133
29.57, 3.021, 873
30.71, 2.911, 589
39.95, 2.257, 213
43.92, 2.061, 157
50.55, 1.806, 263
51.22, 1.784, 276
52.19, 1.753, 304
60.87, 1.522, 118

No. 6
# Cs2Li3Br5
Calculated X-ray powder pattern, Cu Kα X-rays. Input: a structure optimized by DFT (GGA-PBE).
Peak positions follow from Bragg's law for the DFT cell and can differ from measured ones.

Structure:
Cell: 8.2304 8.2304 10.2522 Å, 114.01 114.01 31.17°
Fractional positions:
Cs1 0.1868 0.1868 0.2300
Cs2 0.8132 0.8132 0.7700
Li1 0.0000 0.0000 0.5000
Li2 0.4508 0.4508 0.2082
Li3 0.5492 0.5492 0.7918
Br1 0.1316 0.1316 0.7933
Br2 0.4039 0.4039 0.5625
Br3 0.5000 0.5000 0.0000
Br4 0.5961 0.5961 0.4375
Br5 0.8684 0.8684 0.2067

Largest 12 diffraction maxima, by angle, 10 to 90 degrees two-theta:
2θ/deg, d [Å], I_rel
26.33, 3.385, 1000
26.69, 3.340, 435
26.89, 3.315, 527
27.45, 3.250, 811
28.66, 3.115, 491
29.04, 3.075, 666
30.28, 2.952, 865
33.68, 2.661, 405
34.50, 2.600, 369
40.80, 2.212, 380
49.60, 1.838, 424
54.77, 1.676, 368

No. 7
# CsLi3Br4
Calculated X-ray powder pattern, Cu Kα X-rays. Input: a structure optimized by DFT (GGA-PBE).
Peak positions follow from Bragg's law for the DFT cell and can differ from measured ones.

Structure:
Cell: 5.0633 11.0134 8.8254 Å, 90.00 90.00 90.00°
Fractional positions:
Cs1 0.0000 0.0511 0.0000
Cs2 0.0000 0.9489 0.5000
Li1 0.0000 0.4534 0.1588
Li2 0.0000 0.5466 0.6588
Li3 0.5000 0.2855 0.4697
Li4 0.5000 0.3534 0.8303
Li5 0.5000 0.6466 0.3303
Li6 0.5000 0.7145 0.9697
Br1 0.0000 0.2621 0.3404
Br2 0.0000 0.3586 0.8771
Br3 0.0000 0.6414 0.3771
Br4 0.0000 0.7379 0.8404
Br5 0.5000 0.1294 0.6928
Br6 0.5000 0.4924 0.6018
Br7 0.5000 0.5076 0.1018
Br8 0.5000 0.8706 0.1928

Largest 12 diffraction maxima, by angle, 10 to 90 degrees two-theta:
2θ/deg, d [Å], I_rel
21.77, 4.082, 512
25.90, 3.440, 974
26.29, 3.390, 515
26.80, 3.327, 1000
28.02, 3.185, 848
30.07, 2.972, 695
31.44, 2.845, 284
31.74, 2.819, 939
35.46, 2.532, 558
44.41, 2.040, 287
47.91, 1.899, 299
55.16, 1.665, 290

No. 8
# CsLiBr2
Calculated X-ray powder pattern, Cu Kα X-rays. Input: a structure optimized by DFT (GGA-PBE).
Peak positions follow from Bragg's law for the DFT cell and can differ from measured ones.

Structure:
Cell: 5.2299 5.2299 10.1341 Å, 90.00 90.00 90.00°
Fractional positions:
Cs1 0.2500 0.2500 0.1972
Cs2 0.7500 0.7500 0.8028
Li1 0.2500 0.2500 0.5838
Li2 0.7500 0.7500 0.4162
Br1 0.2500 0.2500 0.8333
Br2 0.2500 0.7500 0.5000
Br3 0.7500 0.2500 0.5000
Br4 0.7500 0.7500 0.1667

Largest 12 diffraction maxima, by angle, 10 to 90 degrees two-theta:
2θ/deg, d [Å], I_rel
24.06, 3.698, 319
25.64, 3.474, 780
26.38, 3.378, 521
29.91, 2.987, 1000
34.29, 2.615, 622
43.78, 2.068, 516
49.28, 1.849, 218
51.41, 1.777, 283
56.37, 1.632, 167
56.76, 1.622, 237
58.73, 1.572, 285
73.97, 1.281, 193